# K6Rb2HPd
Calculated powder diffraction line list, Cu Kα, 1.54184 Å. Input: a crystal structure in Alexandria, relaxed with PBE.
Kinematic intensities with the Lorentz-polarization factor, no thermal factor.

Principal peaks in the range 10° ≤ 2θ ≤ 90°, in order of falling intensity:
hkl, 2theta, I (rel.)
2 2 -2, 23.9, 100
0 4 0, 28.8, 89
2 0 0, 19.0, 71
4 0 0, 38.6, 62
1 1 0, 11.9, 56
0 0 2, 25.3, 52
4 4 -2, 41.1, 40
1 3 -1, 23.5, 37
2 2 -1, 20.2, 31
4 2 -1, 34.7, 30

Structural model:
abc: 12.4358 12.4046 9.3968
angles: 90.00 131.38 90.00
Space group Cm (No. 8)
One atom of each set of equivalent atoms:
K (0.0000, 0.0000, 0.0000) (multiplicity 2)
K (0.0072, 0.0000, 0.4900) (multiplicity 2)
K (0.0413, 0.5000, 0.0837) (multiplicity 2)
K (0.2448, 0.2366, 0.4902) (multiplicity 4)
K (0.4816, 0.0000, 0.4895) (multiplicity 2)
Rb (0.2338, 0.2505, 0.9678) (multiplicity 4)
H (0.1967, 0.0000, 0.3943) (multiplicity 2)
Pd (0.2704, 0.5000, 0.5422) (multiplicity 2)